Record 1
Simulated PXRD pattern
Compound: Sb2O5
Radiation: Cu Kα
Structure: the PBE geometry in the Materials Project
Kinematic intensities with the Lorentz-polarization factor, no thermal factor.

Atomic structure:
abc: 8.5772 5.1092 10.2820
angles: 90.00 115.82 90.00
Space group P2_1/c (No. 14)
Asymmetric unit:
Sb: 0.1493 0.0012 0.1707
Sb: 0.3091 0.0271 0.9428
O: 0.0898 0.6486 0.4584
O: 0.1380 0.1975 0.3295
O: 0.2351 0.6637 0.2521
O: 0.3167 0.1834 0.1266
O: 0.4922 0.7305 0.5548

Peak list (10 most intense, 5° ≤ 2θ ≤ 70°, by angle)
19.85 deg, rel. 1000; 23.04 deg, rel. 180; 31.45 deg, rel. 291; 31.57 deg, rel. 165; 33.71 deg, rel. 383; 35.31 deg, rel. 169; 38.69 deg, rel. 173; 47.95 deg, rel. 134; 50.66 deg, rel. 134; 59.01 deg, rel. 176

=====

Record 2
Simulated PXRD pattern
Compound: Gd7Ti8O26
Radiation: Cu Kα
Structure: the PBE geometry in the Materials Project
Kinematic intensities with the Lorentz-polarization factor, no thermal factor.

Atomic structure:
abc: 7.2167 7.3394 10.2952
angles: 89.43 88.63 89.77
Space group P1 (No. 1)
Asymmetric unit:
Gd: 0.0000 0.0000 0.0000
Gd: 0.0036 0.5112 0.0094
Gd: 0.2280 0.7694 0.2735
Gd: 0.2621 0.2352 0.7402
Gd: 0.5115 0.5331 0.5052
Gd: 0.5462 0.0205 0.4792
Gd: 0.7735 0.2762 0.7338
Ti: 0.0243 0.0184 0.5074
Ti: 0.0460 0.5247 0.5234
Ti: 0.2725 0.7693 0.7663
Ti: 0.2760 0.2651 0.2488
Ti: 0.5057 0.0509 0.9992
Ti: 0.5163 0.4744 0.9991
Ti: 0.7546 0.7713 0.7566
Ti: 0.7645 0.2336 0.2283
O: 0.0107 0.2618 0.8743
O: 0.0144 0.7611 0.8145
O: 0.0195 0.2585 0.1642
O: 0.0248 0.7601 0.1186
O: 0.0275 0.7690 0.4507
O: 0.0285 0.2695 0.5888
O: 0.1864 0.4597 0.3749
O: 0.2195 0.0730 0.3768
O: 0.2222 0.9698 0.6298
O: 0.2371 0.5566 0.6343
O: 0.3077 0.9690 0.8818
O: 0.3219 0.0434 0.1322
O: 0.3235 0.4822 0.1326
O: 0.3262 0.5877 0.8906
O: 0.4964 0.7649 0.3747
O: 0.5102 0.2637 0.8951
O: 0.5170 0.2621 0.6147
O: 0.5194 0.7647 0.6729
O: 0.5239 0.2809 0.3257
O: 0.7061 0.9487 0.8836
O: 0.7112 0.0469 0.1215
O: 0.7152 0.4483 0.1179
O: 0.7158 0.5631 0.8737
O: 0.8022 0.5474 0.6049
O: 0.8115 0.9762 0.6272
O: 0.8331 0.1168 0.3848

Peak list (10 most intense, 5° ≤ 2θ ≤ 70°, by angle)
15.16 deg, rel. 709; 29.76 deg, rel. 1000; 29.91 deg, rel. 980; 30.05 deg, rel. 945; 30.60 deg, rel. 817; 34.84 deg, rel. 697; 34.95 deg, rel. 338; 49.45 deg, rel. 278; 49.93 deg, rel. 306; 60.30 deg, rel. 277

=====

Record 3
Simulated PXRD pattern
Compound: CaZn3Ni2
Radiation: Cu Kα
Structure: the PBE geometry in the Materials Project
Kinematic intensities with the Lorentz-polarization factor, no thermal factor.

Atomic structure:
abc: 9.0242 9.0242 4.0877
angles: 90.00 90.00 120.00
Space group P6/mmm (No. 191)
Asymmetric unit:
Ca: 0.0000 0.0000 0.0000
Ca: 0.3333 0.6667 0.5000
Zn: 0.0000 0.2925 0.5000
Zn: 0.0000 0.5000 0.0000
Ni: 0.1821 0.3642 0.0000

Peak list (10 most intense, 5° ≤ 2θ ≤ 70°, by angle)
19.68 deg, rel. 624; 31.68 deg, rel. 258; 34.43 deg, rel. 157; 37.57 deg, rel. 335; 39.96 deg, rel. 389; 41.09 deg, rel. 1000; 44.32 deg, rel. 492; 45.95 deg, rel. 962; 61.19 deg, rel. 201; 66.19 deg, rel. 150

=====

Record 4
Simulated PXRD pattern
Compound: SnP7Au3
Radiation: Cu Kα
Structure: the PBE geometry in the Materials Project
Kinematic intensities with the Lorentz-polarization factor, no thermal factor.

Atomic structure:
abc: 6.3909 11.1463 6.5205
angles: 90.00 108.83 90.00
Space group P2_1/m (No. 11)
Asymmetric unit:
Sn: 0.1887 0.2500 0.4596
P: 0.2202 0.5916 0.3049
P: 0.2387 0.7500 0.7832
P: 0.2998 0.0884 0.2105
P: 0.3356 0.5787 0.6648
Au: 0.1845 0.0979 0.8131
Au: 0.4267 0.7500 0.1811

Peak list (10 most intense, 5° ≤ 2θ ≤ 70°, by angle)
16.42 deg, rel. 568; 16.68 deg, rel. 180; 28.66 deg, rel. 167; 28.93 deg, rel. 185; 29.47 deg, rel. 1000; 30.05 deg, rel. 190; 30.63 deg, rel. 237; 44.32 deg, rel. 202; 44.61 deg, rel. 166; 48.51 deg, rel. 215

=====

Record 5
Simulated PXRD pattern
Compound: SrLaB12
Radiation: Cu Kα
Structure: the PBE geometry in the Materials Project
Kinematic intensities with the Lorentz-polarization factor, no thermal factor.

Atomic structure:
abc: 4.1726 4.1726 8.3511
angles: 90.00 90.00 90.00
Space group P4/mmm (No. 123)
Asymmetric unit:
Sr: 0.0000 0.0000 0.0000
La: 0.0000 0.0000 0.5000
B: 0.2013 0.5000 0.2503
B: 0.5000 0.5000 0.1011
B: 0.5000 0.5000 0.3996

Peak list (10 most intense, 5° ≤ 2θ ≤ 70°, by angle)
10.59 deg, rel. 75; 21.29 deg, rel. 527; 23.84 deg, rel. 50; 30.29 deg, rel. 1000; 37.32 deg, rel. 427; 43.36 deg, rel. 220; 48.79 deg, rel. 481; 53.80 deg, rel. 240; 62.99 deg, rel. 93; 67.30 deg, rel. 286

=====

Q: Number 1 is which compound?
A: Sb2O5